[1]
Calculated powder diffraction line list
Compound: Li3Hf2O6
Radiation: Cu Kα X-rays
Structure: the GGA-PBE geometry in OQMD

Main lines, low angle first (5° ≤ 2θ ≤ 70°):
2θ/deg  I/Imax  index
18.6  100  0 0 1
19.2  22  0 2 0
20.0  40  1 1 0
22.4  27  1 1 -1
26.9  23  0 2 1
34.1  40  1 3 0
35.6  34  2 0 0
42.4  40  1 3 1

Structure:
```
data_Li3Hf2O6
_cell_length_a 5.452
_cell_length_b 9.235
_cell_length_c 5.153
_cell_angle_alpha 90.00
_cell_angle_beta 112.20
_cell_angle_gamma 90.00
_space_group_name_H-M_alt 'C 1 2 1'
_space_group_IT_number 5
loop_
_space_group_symop_operation_xyz
'x,y,z'
'-x,y,-z'
'x+1/2,y+1/2,z'
'-x+1/2,y+1/2,-z'
loop_
_atom_site_label
_atom_site_fract_x
_atom_site_fract_y
_atom_site_fract_z
Li1 0.000 0.000 0.000
Li2 0.000 0.143 0.500
Li3 0.000 0.499 0.500
Hf1 0.000 0.341 0.000
Hf2 0.000 0.679 0.000
O1 0.217 0.510 0.243
O2 0.236 0.332 0.771
O3 0.243 0.169 0.219
```


[2]
Calculated powder diffraction line list
Compound: Li8Hf4O11
Radiation: Cu Kα X-rays
Structure: the GGA-PBE geometry in OQMD

Main lines, low angle first (5° ≤ 2θ ≤ 70°):
2θ/deg  I/Imax  index
18.2  100  1 0 1
19.2  22  0 1 1
20.3  22  0 1 -1
26.6  21  1 -1 0
34.1  40  1 1 -2
35.9  24  1 2 1
41.8  21  2 1 -1
42.0  27  1 1 4

Structure:
```
data_Li8Hf4O11
_cell_length_a 5.199
_cell_length_b 5.312
_cell_length_c 9.151
_cell_angle_alpha 84.21
_cell_angle_beta 74.94
_cell_angle_gamma 80.14
_space_group_name_H-M_alt 'P 1'
_space_group_IT_number 1
loop_
_space_group_symop_operation_xyz
'x,y,z'
loop_
_atom_site_label
_atom_site_fract_x
_atom_site_fract_y
_atom_site_fract_z
Li1 0.000 0.000 0.000
Li2 0.056 0.262 0.430
Li3 0.135 0.537 0.853
Li4 0.305 0.014 0.678
Li5 0.479 0.503 0.506
Li6 0.558 0.763 0.925
Li7 0.626 0.036 0.358
Li8 0.814 0.493 0.184
Hf1 0.215 0.770 0.263
Hf2 0.393 0.265 0.097
Hf3 0.723 0.262 0.765
Hf4 0.890 0.762 0.596
O1 0.033 0.137 0.218
O2 0.074 0.398 0.646
O3 0.172 0.633 0.069
O4 0.247 0.877 0.472
O5 0.362 0.150 0.895
O6 0.435 0.412 0.293
O7 0.536 0.628 0.721
O8 0.676 0.129 0.568
O9 0.755 0.362 0.973
O10 0.852 0.659 0.394
O11 0.934 0.897 0.795
```


[3]
Calculated powder diffraction line list
Compound: Li4HfOsO6
Radiation: Cu Kα X-rays
Structure: the GGA-PBE geometry in OQMD

Main lines, low angle first (5° ≤ 2θ ≤ 70°):
2θ/deg  I/Imax  index
18.0  100  0 0 1
20.7  42  1 1 0
23.3  33  1 1 -1
35.2  18  2 0 -1
35.5  36  1 3 0
36.6  20  2 0 0
37.2  20  1 3 -1
42.8  58  2 0 -2

Structure:
```
data_Li4HfOsO6
_cell_length_a 5.184
_cell_length_b 8.842
_cell_length_c 5.204
_cell_angle_alpha 90.00
_cell_angle_beta 108.80
_cell_angle_gamma 90.00
_space_group_name_H-M_alt 'C 1 2 1'
_space_group_IT_number 5
loop_
_space_group_symop_operation_xyz
'x,y,z'
'-x,y,-z'
'x+1/2,y+1/2,z'
'-x+1/2,y+1/2,-z'
loop_
_atom_site_label
_atom_site_fract_x
_atom_site_fract_y
_atom_site_fract_z
Li1 0.000 0.000 0.000
Li2 0.000 0.157 0.500
Li3 0.000 0.315 0.000
Li4 0.000 0.647 0.000
Hf1 0.000 0.811 0.500
Os1 0.000 0.495 0.500
O1 0.242 0.487 0.271
O2 0.249 0.330 0.737
O3 0.249 0.653 0.757
```